Record 1
Diffraction record for Rb2Bi8Se13. The powder X-ray diffraction pattern is simulated, not measured: it uses a cell relaxed with GGA-PBE and a wavelength of 1.5418 Å.
Peak positions follow from Bragg's law for the DFT cell and can differ from measured ones.

a = 13.8937 Å, b = 4.2210 Å, c = 25.2828 Å
α = 90.00°, β = 96.63°, γ = 90.00°
Space group P2_1/m (No. 11)
Inequivalent atoms, fractional coordinates:
Rb  0.0813  0.2500  0.1190 (multiplicity 2)
Rb  0.2228  0.7500  0.3617 (multiplicity 2)
Bi  0.0636  0.7500  0.7325 (multiplicity 2)
Bi  0.0716  0.2500  0.5637 (multiplicity 2)
Bi  0.2228  0.7500  0.9679 (multiplicity 2)
Bi  0.3091  0.2500  0.8307 (multiplicity 2)
Bi  0.3750  0.7500  0.2124 (multiplicity 2)
Bi  0.3834  0.7500  0.6924 (multiplicity 2)
Bi  0.4501  0.2500  0.5595 (multiplicity 2)
Bi  0.4537  0.2500  0.0700 (multiplicity 2)
Se  0.0164  0.2500  0.3726 (multiplicity 2)
Se  0.0535  0.7500  0.2388 (multiplicity 2)
Se  0.0932  0.2500  0.9788 (multiplicity 2)
Se  0.1122  0.7500  0.4878 (multiplicity 2)
Se  0.1765  0.7500  0.8540 (multiplicity 2)
Se  0.2411  0.2500  0.7203 (multiplicity 2)
Se  0.2536  0.2500  0.2351 (multiplicity 2)
Se  0.3098  0.7500  0.5856 (multiplicity 2)
Se  0.3148  0.7500  0.0878 (multiplicity 2)
Se  0.3965  0.2500  0.9516 (multiplicity 2)
Se  0.4008  0.2500  0.4491 (multiplicity 2)
Se  0.4633  0.7500  0.8175 (multiplicity 2)
Se  0.4735  0.7500  0.3193 (multiplicity 2)

Most intense lines, 2θ from 10° to 80°, in order of rising 2θ:
two_theta  I_rel  (hkl)
21.32  23.4  3 0 2
25.43  16.1  0 1 4
29.03  100.0  3 1 -2
29.91  43.0  1 0 8
41.71  26.7  4 1 6
42.63  30.7  2 1 -10
42.85  24.6  0 2 0
53.13  17.5  1 2 8

=====

Record 2
Diffraction record for RbBi4Se7. The powder X-ray diffraction pattern is simulated, not measured: it uses a cell relaxed with GGA-PBE and a wavelength of 1.5418 Å.
Peak positions follow from Bragg's law for the DFT cell and can differ from measured ones.

a = 23.4358 Å, b = 4.2466 Å, c = 19.7756 Å
α = 90.00°, β = 123.36°, γ = 90.00°
Space group C2/m (No. 12)
Inequivalent atoms, fractional coordinates:
Rb  0.0379  0.0000  0.3484 (multiplicity 4)
Bi  0.1378  0.0000  0.0658 (multiplicity 4)
Bi  0.1528  0.5000  0.8896 (multiplicity 4)
Bi  0.1962  0.0000  0.7310 (multiplicity 4)
Bi  0.2270  0.5000  0.5705 (multiplicity 4)
Se  0.0492  0.5000  0.0678 (multiplicity 4)
Se  0.0681  0.0000  0.8817 (multiplicity 4)
Se  0.1022  0.5000  0.7238 (multiplicity 4)
Se  0.1356  0.0000  0.5605 (multiplicity 4)
Se  0.1720  0.5000  0.4054 (multiplicity 4)
Se  0.2041  0.0000  0.2387 (multiplicity 4)
Se  0.2353  0.5000  0.0804 (multiplicity 4)

Most intense lines, 2θ from 10° to 80°, in order of rising 2θ:
two_theta  I_rel  (hkl)
12.80  12.9  2 0 1
25.36  12.7  1 1 -3
28.42  100.0  5 1 -2
38.01  16.9  3 1 4
38.58  12.5  10 0 -4
42.58  13.3  0 2 0
43.14  21.9  7 1 -8
45.10  11.9  5 1 4

=====

Record 3
Diffraction record for Re3Bi. The powder X-ray diffraction pattern is simulated, not measured: it uses a cell relaxed with GGA-PBE and a wavelength of 1.5418 Å.
Peak positions follow from Bragg's law for the DFT cell and can differ from measured ones.

a = 6.4985 Å, b = 6.4985 Å, c = 4.2999 Å
α = 90.00°, β = 90.00°, γ = 120.00°
Space group P6_3/mmc (No. 194)
Inequivalent atoms, fractional coordinates:
Re  0.1363  0.2726  0.2500 (multiplicity 6)
Bi  0.3333  0.6667  0.7500 (multiplicity 2)

Most intense lines, 2θ from 10° to 80°, in order of rising 2θ:
two_theta  I_rel  (hkl)
15.75  15.8  1 0 0
31.80  25.4  2 0 0
38.22  100.0  2 0 1
42.03  20.9  0 0 2
53.28  14.7  3 0 1
56.66  13.6  2 2 0
72.99  13.0  2 2 2
74.26  14.8  2 0 3

=====

Record 4
Diffraction record for Bi14Rh3. The powder X-ray diffraction pattern is simulated, not measured: it uses a cell relaxed with GGA-PBE and a wavelength of 1.5418 Å.
Peak positions follow from Bragg's law for the DFT cell and can differ from measured ones.

a = 6.9319 Å, b = 17.7496 Å, c = 32.1373 Å
α = 90.00°, β = 90.00°, γ = 90.00°
Space group Fddd (No. 70, origin choice 2)
Inequivalent atoms, fractional coordinates:
Bi  0.0101  0.2573  0.4281 (multiplicity 32)
Bi  0.0700  0.3146  0.9275 (multiplicity 32)
Bi  0.0912  0.3445  0.5167 (multiplicity 32)
Bi  0.1250  0.3482  0.6250 (multiplicity 16)
Rh  0.0000  0.0000  0.0000 (multiplicity 16)
Rh  0.1250  0.1250  0.1250 (multiplicity 8)

Most intense lines, 2θ from 10° to 80°, in order of rising 2θ:
two_theta  I_rel  (hkl)
27.63  71.6  2 2 0
29.54  100.0  0 2 10
30.01  46.4  0 4 8
31.55  67.1  1 5 5
32.38  63.9  2 2 6
37.89  31.2  1 7 1
38.19  53.5  2 0 10
42.83  32.3  3 3 3

=====

Copy entry 1 word for word.
Diffraction record for Rb2Bi8Se13. The powder X-ray diffraction pattern is simulated, not measured: it uses a cell relaxed with GGA-PBE and a wavelength of 1.5418 Å.
Peak positions follow from Bragg's law for the DFT cell and can differ from measured ones.

a = 13.8937 Å, b = 4.2210 Å, c = 25.2828 Å
α = 90.00°, β = 96.63°, γ = 90.00°
Space group P2_1/m (No. 11)
Inequivalent atoms, fractional coordinates:
Rb  0.0813  0.2500  0.1190 (multiplicity 2)
Rb  0.2228  0.7500  0.3617 (multiplicity 2)
Bi  0.0636  0.7500  0.7325 (multiplicity 2)
Bi  0.0716  0.2500  0.5637 (multiplicity 2)
Bi  0.2228  0.7500  0.9679 (multiplicity 2)
Bi  0.3091  0.2500  0.8307 (multiplicity 2)
Bi  0.3750  0.7500  0.2124 (multiplicity 2)
Bi  0.3834  0.7500  0.6924 (multiplicity 2)
Bi  0.4501  0.2500  0.5595 (multiplicity 2)
Bi  0.4537  0.2500  0.0700 (multiplicity 2)
Se  0.0164  0.2500  0.3726 (multiplicity 2)
Se  0.0535  0.7500  0.2388 (multiplicity 2)
Se  0.0932  0.2500  0.9788 (multiplicity 2)
Se  0.1122  0.7500  0.4878 (multiplicity 2)
Se  0.1765  0.7500  0.8540 (multiplicity 2)
Se  0.2411  0.2500  0.7203 (multiplicity 2)
Se  0.2536  0.2500  0.2351 (multiplicity 2)
Se  0.3098  0.7500  0.5856 (multiplicity 2)
Se  0.3148  0.7500  0.0878 (multiplicity 2)
Se  0.3965  0.2500  0.9516 (multiplicity 2)
Se  0.4008  0.2500  0.4491 (multiplicity 2)
Se  0.4633  0.7500  0.8175 (multiplicity 2)
Se  0.4735  0.7500  0.3193 (multiplicity 2)

Most intense lines, 2θ from 10° to 80°, in order of rising 2θ:
two_theta  I_rel  (hkl)
21.32  23.4  3 0 2
25.43  16.1  0 1 4
29.03  100.0  3 1 -2
29.91  43.0  1 0 8
41.71  26.7  4 1 6
42.63  30.7  2 1 -10
42.85  24.6  0 2 0
53.13  17.5  1 2 8

=====

- Number 3 is which compound?
  Re3Bi